# 1
Calculated powder diffractogram of AcMnSeO6 for Cu Ka, from a crystal structure in Alexandria, relaxed with GGA+U.

Peak list (10 most intense, 10 to 90 degrees two-theta, by angle)
2theta	I/Imax	hkl
20.20	18.9	1 0 0
26.21	100.0	1 0 1
35.36	25.7	1 1 0
39.33	17.0	1 1 1
44.55	21.5	2 0 1
49.45	31.2	2 -1 2
55.51	11.3	1 0 3
58.12	21.7	3 -1 1
78.62	9.0	2 1 3
80.84	9.0	3 1 1

Atomic structure:
```
data_AcMnSeO6
_chemical_formula_sum 'Ac1 Mn1 Se1 O6'
_symmetry_space_group_name_H-M 'P 3 1 2'
_symmetry_Int_Tables_number 149
_symmetry_space_group_name_Hall 'P 3 2'
_cell_length_a 5.0766
_cell_length_b 5.0766
_cell_length_c 5.3611
_cell_angle_alpha 90.00
_cell_angle_beta 90.00
_cell_angle_gamma 120.00
loop_
_atom_site_label
_atom_site_type_symbol
_atom_site_fract_x
_atom_site_fract_y
_atom_site_fract_z
Ac1 Ac 0.0000 0.0000 0.0000
Mn1 Mn 0.3333 0.6667 0.5000
Se1 Se 0.6667 0.3333 0.5000
O1 O 0.3937 0.0161 0.6996
```


# 2
Calculated powder diffractogram of AcTm4Mn3O12 for Cu Ka, from a crystal structure in Alexandria, relaxed with GGA+U.

Peak list (10 most intense, 10 to 90 degrees two-theta, by angle)
2theta	I/Imax	hkl
15.48	12.3	1 1 0
21.95	9.7	2 0 0
31.24	100.0	2 2 0
35.04	7.0	3 1 0
41.74	7.5	3 2 1
44.77	21.2	4 0 0
50.40	5.7	4 0 2
55.61	47.0	4 2 2
65.18	12.5	4 4 0
74.05	18.2	6 0 2

Atomic structure:
```
data_AcTm4Mn3O12
_chemical_formula_sum 'Ac2 Tm8 Mn6 O24'
_symmetry_space_group_name_H-M 'I m -3'
_symmetry_Int_Tables_number 204
_symmetry_space_group_name_Hall '-I 2 2 3'
_cell_length_a 8.097
_cell_length_b 8.097
_cell_length_c 8.097
_cell_angle_alpha 90.00
_cell_angle_beta 90.00
_cell_angle_gamma 90.00
loop_
_atom_site_label
_atom_site_type_symbol
_atom_site_fract_x
_atom_site_fract_y
_atom_site_fract_z
Ac1 Ac 0.000 0.000 0.000
Tm1 Tm 0.250 0.250 0.250
Mn1 Mn 0.000 0.000 0.500
O1 O 0.000 0.159 0.317
```